For Ho4Cd2Hg, a crystal structure in Alexandria, relaxed with PBE gives the simulated PXRD pattern in this record (Cu Kα (weighted mean of Kα1 and Kα2)).

The 8 most intense peaks (2θ = 10–90°), sorted by position:
2theta  I_rel
34.50  100
34.79  95
49.80  34
61.81  18
61.99  36
62.54  16
83.23  16
83.72  14

Structure:
abc: 8.911 8.911 8.911
angles: 33.93 33.93 33.93
Positions (direct):
Ho: 0.120 0.120 0.120
Ho: 0.372 0.372 0.372
Ho: 0.628 0.628 0.628
Ho: 0.880 0.880 0.880
Cd: 0.249 0.249 0.249
Cd: 0.751 0.751 0.751
Hg: 0.500 0.500 0.500